Computed XRD peak list of Ir5OsW2 for Cu Kα, from a crystal structure in OQMD, relaxed with PBE.
Intensities are scaled so that the largest is 1000.

Structure:
a b c (Å): 4.423 5.530 9.638
angles (deg): 90.00 90.00 90.00
Space group Amm2 (No. 38)
One atom of each set of equivalent atoms:
Ir  0.000  0.000  0.000 (multiplicity 2)
Ir  0.000  0.249  0.750 (multiplicity 4)
Ir  0.500  0.249  0.917 (multiplicity 4)
Os  0.500  0.000  0.667 (multiplicity 2)
W  0.000  0.000  0.501 (multiplicity 2)
W  0.500  0.000  0.167 (multiplicity 2)

Top 6 peaks for 2θ = 5–70°, in order of rising 2θ:
- hkl 0 2 2, 37.50°, d = 2.398 Å, rel. 243
- hkl 2 0 0, 40.80°, d = 2.212 Å, rel. 384
- hkl 1 0 4, 42.73°, d = 2.116 Å, rel. 508
- hkl 1 2 2, 42.90°, d = 2.108 Å, rel. 1000
- hkl 2 2 2, 56.61°, d = 1.626 Å, rel. 150
- hkl 0 2 6, 67.42°, d = 1.389 Å, rel. 177